[1]
CaH2F6: simulated X-ray diffraction stick pattern (copper Kα), based on a cell relaxed with GGA-PBE.
Kinematic intensities with the Lorentz-polarization factor, no thermal factor.

Structural model:
```
data_CaH2F6
_chemical_formula_sum 'Ca2 H4 F12'
_cell_length_a 6.3331
_cell_length_b 6.3331
_cell_length_c 6.8096
_cell_angle_alpha 101.26
_cell_angle_beta 101.26
_cell_angle_gamma 101.45
_space_group_name_H-M_alt 'P 1'
_space_group_IT_number 1
loop_
_space_group_symop_operation_xyz
'x,y,z'
loop_
_atom_site_label
_atom_site_fract_x
_atom_site_fract_y
_atom_site_fract_z
_atom_site_occupancy
Ca1 0.0780 0.9220 0.7500 1
Ca2 0.9220 0.0780 0.2500 1
H1 0.0115 0.4008 0.6901 1
H2 0.4008 0.0115 0.1901 1
H3 0.5992 0.9885 0.8099 1
H4 0.9885 0.5992 0.3099 1
F1 0.0012 0.4380 0.2409 1
F2 0.0226 0.2107 0.6053 1
F3 0.2107 0.0226 0.1053 1
F4 0.3908 0.4906 0.4367 1
F5 0.4380 0.0012 0.7409 1
F6 0.4906 0.3908 0.9367 1
F7 0.5094 0.6092 0.0633 1
F8 0.5620 0.9988 0.2591 1
F9 0.6092 0.5094 0.5633 1
F10 0.7893 0.9774 0.8947 1
F11 0.9774 0.7893 0.3947 1
F12 0.9988 0.5620 0.7591 1
```

Peak list (6 most intense, 2θ from 10° to 90°, sorted by position)
- 2θ 14.71, I = 58
- 2θ 17.50, I = 34
- 2θ 29.68, I = 100
- 2θ 30.19, I = 37
- 2θ 34.48, I = 45
- 2θ 43.84, I = 70

[2]
Nd2Sm4Tl3O2: simulated X-ray diffraction stick pattern (copper Kα), based on a cell relaxed with GGA-PBE.
Kinematic intensities with the Lorentz-polarization factor, no thermal factor.

Structural model:
```
data_Nd2Sm4Tl3O2
_chemical_formula_sum 'Nd2 Sm4 Tl3 O2'
_cell_length_a 13.2374
_cell_length_b 13.2374
_cell_length_c 13.2374
_cell_angle_alpha 159.05
_cell_angle_beta 159.05
_cell_angle_gamma 29.80
_space_group_name_H-M_alt 'P 1'
_space_group_IT_number 1
loop_
_space_group_symop_operation_xyz
'x,y,z'
loop_
_atom_site_label
_atom_site_fract_x
_atom_site_fract_y
_atom_site_fract_z
_atom_site_occupancy
Nd1 0.1970 0.1970 0.0000 1
Nd2 0.8030 0.8030 0.0000 1
Sm1 0.0845 0.5845 0.5000 1
Sm2 0.4155 0.9155 0.5000 1
Sm3 0.5845 0.0845 0.5000 1
Sm4 0.9155 0.4155 0.5000 1
Tl1 0.3246 0.3246 0.0000 1
Tl2 0.5000 0.5000 0.0000 1
Tl3 0.6754 0.6754 0.0000 1
O1 0.1008 0.1008 0.0000 1
O2 0.8992 0.8992 0.0000 1
```

Peak list (6 most intense, 2θ from 10° to 90°, sorted by position)
- 2θ 27.11, I = 33
- 2θ 30.72, I = 18
- 2θ 33.69, I = 100
- 2θ 37.36, I = 54
- 2θ 53.87, I = 19
- 2θ 65.06, I = 31

[3]
Pr4P3O: simulated X-ray diffraction stick pattern (copper Kα), based on a cell relaxed with GGA-PBE.
Kinematic intensities with the Lorentz-polarization factor, no thermal factor.

Structural model:
```
data_Pr4P3O
_chemical_formula_sum 'Pr4 P3 O1'
_cell_length_a 7.0497
_cell_length_b 7.0497
_cell_length_c 4.0835
_cell_angle_alpha 90.00
_cell_angle_beta 90.00
_cell_angle_gamma 109.44
_space_group_name_H-M_alt 'P 1'
_space_group_IT_number 1
loop_
_space_group_symop_operation_xyz
'x,y,z'
loop_
_atom_site_label
_atom_site_fract_x
_atom_site_fract_y
_atom_site_fract_z
_atom_site_occupancy
Pr1 0.2383 0.2383 0.4996 1
Pr2 0.2422 0.7578 0.0000 1
Pr3 0.7578 0.2422 0.0000 1
Pr4 0.7617 0.7617 0.4996 1
P1 0.0000 0.5000 0.5000 1
P2 0.5000 0.0000 0.5000 1
P3 0.5000 0.5000 0.9998 1
O1 0.0000 0.0000 0.0008 1
```

Peak list (6 most intense, 2θ from 10° to 90°, sorted by position)
- 2θ 26.80, I = 87
- 2θ 31.04, I = 100
- 2θ 44.49, I = 60
- 2θ 52.65, I = 28
- 2θ 73.49, I = 15
- 2θ 81.96, I = 15

[4]
Ac4Cr: simulated X-ray diffraction stick pattern (copper Kα), based on a cell relaxed with GGA-PBE.
Kinematic intensities with the Lorentz-polarization factor, no thermal factor.

Structural model:
```
data_Ac4Cr
_chemical_formula_sum 'Ac4 Cr1'
_cell_length_a 5.9307
_cell_length_b 5.9307
_cell_length_c 5.9307
_cell_angle_alpha 90.00
_cell_angle_beta 90.00
_cell_angle_gamma 90.00
_space_group_name_H-M_alt 'P 1'
_space_group_IT_number 1
loop_
_space_group_symop_operation_xyz
'x,y,z'
loop_
_atom_site_label
_atom_site_fract_x
_atom_site_fract_y
_atom_site_fract_z
_atom_site_occupancy
Ac1 0.0000 0.0000 0.0000 1
Ac2 0.0000 0.5000 0.5000 1
Ac3 0.5000 0.0000 0.5000 1
Ac4 0.5000 0.5000 0.0000 1
Cr1 0.5000 0.5000 0.5000 1
```

Peak list (6 most intense, 2θ from 10° to 90°, sorted by position)
- 2θ 26.02, I = 100
- 2θ 30.14, I = 67
- 2θ 43.14, I = 51
- 2θ 51.08, I = 50
- 2θ 69.03, I = 21
- 2θ 71.09, I = 24

[5]
Nd2NpO8: simulated X-ray diffraction stick pattern (copper Kα), based on a cell relaxed with GGA-PBE.
Kinematic intensities with the Lorentz-polarization factor, no thermal factor.

Structural model:
```
data_Nd2NpO8
_chemical_formula_sum 'Nd2 Np1 O8'
_cell_length_a 3.9770
_cell_length_b 6.4001
_cell_length_c 7.1438
_cell_angle_alpha 97.84
_cell_angle_beta 93.08
_cell_angle_gamma 100.92
_space_group_name_H-M_alt 'P 1'
_space_group_IT_number 1
loop_
_space_group_symop_operation_xyz
'x,y,z'
loop_
_atom_site_label
_atom_site_fract_x
_atom_site_fract_y
_atom_site_fract_z
_atom_site_occupancy
Nd1 0.0000 0.0000 0.0000 1
Nd2 0.4372 0.9700 0.5116 1
Np1 0.2525 0.4973 0.7704 1
O1 0.0029 0.1307 0.6885 1
O2 0.2221 0.5837 0.5305 1
O3 0.3003 0.3831 0.9956 1
O4 0.4466 0.8613 0.8309 1
O5 0.5618 0.0831 0.2078 1
O6 0.6273 0.3449 0.6257 1
O7 0.8849 0.8932 0.3134 1
O8 0.8884 0.6216 0.9039 1
```

Peak list (6 most intense, 2θ from 10° to 90°, sorted by position)
- 2θ 12.55, I = 82
- 2θ 17.56, I = 27
- 2θ 20.41, I = 28
- 2θ 27.10, I = 100
- 2θ 27.70, I = 51
- 2θ 28.73, I = 47

[6]
Li2Ni5Rh: simulated X-ray diffraction stick pattern (copper Kα), based on a cell relaxed with GGA-PBE.
Kinematic intensities with the Lorentz-polarization factor, no thermal factor.

Structural model:
```
data_Li2Ni5Rh
_chemical_formula_sum 'Li2 Ni5 Rh1'
_cell_length_a 5.9787
_cell_length_b 4.9555
_cell_length_c 4.9555
_cell_angle_alpha 74.20
_cell_angle_beta 52.90
_cell_angle_gamma 52.90
_space_group_name_H-M_alt 'P 1'
_space_group_IT_number 1
loop_
_space_group_symop_operation_xyz
'x,y,z'
loop_
_atom_site_label
_atom_site_fract_x
_atom_site_fract_y
_atom_site_fract_z
_atom_site_occupancy
Li1 0.2499 0.7501 0.2499 1
Li2 0.7501 0.2499 0.7501 1
Ni1 0.2494 0.2494 0.7506 1
Ni2 0.2493 0.7494 0.7507 1
Ni3 0.2500 0.2500 0.2500 1
Ni4 0.7494 0.2493 0.2506 1
Ni5 0.7500 0.7500 0.7500 1
Rh1 0.7493 0.7493 0.2507 1
```

Peak list (6 most intense, 2θ from 10° to 90°, sorted by position)
- 2θ 21.01, I = 56
- 2θ 40.92, I = 19
- 2θ 42.78, I = 64
- 2θ 46.44, I = 100
- 2θ 62.10, I = 20
- 2θ 80.96, I = 36